Structure and simulated X-ray diffraction stick pattern of LuZnFeO4 (a GGA+U-relaxed structure; Cu Kα).
Kinematic intensities with the Lorentz-polarization factor, no thermal factor.

Largest 10 diffraction maxima, by angle, 2θ from 5° to 70°:
| d (Å) | 2theta | I/Imax |
| --- | --- | --- |
| 8.610 | 10.27 | 75 |
| 4.305 | 20.63 | 35 |
| 2.948 | 30.31 | 100 |
| 2.870 | 31.16 | 57 |
| 2.697 | 33.22 | 100 |
| 2.573 | 34.86 | 81 |
| 1.948 | 46.61 | 46 |
| 1.713 | 53.48 | 56 |
| 1.567 | 58.94 | 34 |
| 1.471 | 63.20 | 44 |

Atomic structure:
Cell lengths 8.835, 8.835, 8.835 Å; angles 22.37, 22.37, 22.37 degrees
Atoms (fractional coordinates):
Lu (0.000, 0.000, 0.000)
Zn (0.784, 0.784, 0.784)
Fe (0.217, 0.217, 0.217)
O (0.138, 0.138, 0.138)
O (0.294, 0.294, 0.294)
O (0.707, 0.707, 0.707)
O (0.884, 0.884, 0.884)